Record 1
For CaAc3Nd12, a structure optimized by DFT (PBE) gives the computed X-ray powder pattern in this record (Cu Kα).
Neutral-atom scattering factors, no anomalous dispersion.

Top 12 peaks for 15 to 90 degrees two-theta, sorted by position:
(1 1 4), 2θ 29.20, intensity 100; (2 0 0), 2θ 33.75, intensity 34; (0 0 8), 2θ 34.02, intensity 17; (2 2 0), 2θ 48.48, intensity 12; (2 0 8), 2θ 48.68, intensity 25; (3 1 4), 2θ 57.60, intensity 30; (1 1 12), 2θ 57.95, intensity 15; (2 2 8), 2θ 60.54, intensity 13; (3 3 4), 2θ 78.53, intensity 6; (3 1 12), 2θ 78.84, intensity 12; (4 2 0), 2θ 80.95, intensity 6; (4 0 8), 2θ 81.10, intensity 6

Crystal structure
a = 5.311 Å, b = 5.311 Å, c = 21.082 Å
α = 90.00°, β = 90.00°, γ = 90.00°
Space group P4/mmm (No. 123)
Asymmetric unit:
1 Ca 0.000 0.000 0.000
2 Ac 0.000 0.000 0.249
3 Ac 0.000 0.000 0.500
4 Nd 0.000 0.500 0.125
5 Nd 0.000 0.500 0.375
6 Nd 0.500 0.500 0.000
7 Nd 0.500 0.500 0.247
8 Nd 0.500 0.500 0.500

---

Record 2
For Ca3Ac4Nd2, a structure optimized by DFT (PBE) gives the computed X-ray powder pattern in this record (Cu Kα).
Neutral-atom scattering factors, no anomalous dispersion.

Top 12 peaks for 15 to 90 degrees two-theta, sorted by position:
(0 0 2), 2θ 18.33, intensity 14; (1 1 -1), 2θ 23.79, intensity 16; (3 1 0), 2θ 26.23, intensity 19; (0 0 3), 2θ 27.65, intensity 40; (6 0 -1), 2θ 28.17, intensity 36; (3 1 1), 2θ 28.93, intensity 100; (4 0 -3), 2θ 29.81, intensity 17; (3 1 -2), 2θ 30.13, intensity 88; (6 0 1), 2θ 32.38, intensity 19; (0 2 0), 2θ 44.57, intensity 18; (9 1 1), 2θ 52.56, intensity 17; (0 2 3), 2θ 53.25, intensity 15

Crystal structure
a = 19.084 Å, b = 4.066 Å, c = 9.956 Å
α = 90.00°, β = 103.52°, γ = 90.00°
Space group C2/m (No. 12)
Asymmetric unit:
1 Ca 0.000 0.000 0.000
2 Ca 0.131 0.000 0.635
3 Ac 0.030 0.500 0.324
4 Ac 0.198 0.000 0.288
5 Nd 0.167 0.500 0.956

---

Record 3
For Ca4Ac15Nd, a structure optimized by DFT (PBE) gives the computed X-ray powder pattern in this record (Cu Kα).
Neutral-atom scattering factors, no anomalous dispersion.

Top 12 peaks for 15 to 90 degrees two-theta, sorted by position:
(1 0 0), 2θ 15.85, intensity 12; (1 1 0), 2θ 22.49, intensity 11; (1 1 5), 2θ 27.64, intensity 100; (0 0 10), 2θ 31.92, intensity 17; (2 0 0), 2θ 32.07, intensity 34; (2 0 10), 2θ 45.88, intensity 26; (2 2 0), 2θ 45.98, intensity 13; (1 1 15), 2θ 54.31, intensity 16; (3 1 5), 2θ 54.50, intensity 31; (2 2 10), 2θ 57.07, intensity 14; (3 1 15), 2θ 73.84, intensity 13; (4 2 10), 2θ 85.07, intensity 9

Crystal structure
a = 5.582 Å, b = 5.582 Å, c = 28.033 Å
α = 90.00°, β = 90.00°, γ = 90.00°
Space group P4/mmm (No. 123)
Asymmetric unit:
1 Ca 0.000 0.000 0.100
2 Ca 0.000 0.000 0.301
3 Ac 0.000 0.500 0.000
4 Ac 0.000 0.500 0.201
5 Ac 0.000 0.500 0.403
6 Ac 0.500 0.500 0.100
7 Ac 0.500 0.500 0.301
8 Ac 0.500 0.500 0.500
9 Nd 0.000 0.000 0.500

---

Record 4
For CaAc4Nd5, a structure optimized by DFT (PBE) gives the computed X-ray powder pattern in this record (Cu Kα).
Neutral-atom scattering factors, no anomalous dispersion.

Top 12 peaks for 15 to 90 degrees two-theta, sorted by position:
(5 1 0), 2θ 28.63, intensity 100; (0 2 0), 2θ 32.61, intensity 18; (6 0 -2), 2θ 33.23, intensity 17; (4 0 2), 2θ 33.70, intensity 16; (6 2 -2), 2θ 47.25, intensity 13; (4 2 2), 2θ 47.60, intensity 13; (5 3 0), 2θ 55.78, intensity 16; (11 1 -2), 2θ 56.50, intensity 8; (7 1 -4), 2θ 56.67, intensity 8; (9 1 2), 2θ 57.12, intensity 7; (3 1 4), 2θ 57.29, intensity 7; (10 2 0), 2θ 59.17, intensity 7

Crystal structure
a = 19.407 Å, b = 5.491 Å, c = 7.556 Å
α = 90.00°, β = 102.01°, γ = 90.00°
Space group C2/m (No. 12)
Asymmetric unit:
1 Ca 0.000 0.000 0.000
2 Ac 0.100 0.500 0.800
3 Ac 0.199 0.000 0.602
4 Nd 0.000 0.000 0.500
5 Nd 0.102 0.500 0.310
6 Nd 0.202 0.000 0.104

---

Record 5
For Ca7Ac2Nd2, a structure optimized by DFT (PBE) gives the computed X-ray powder pattern in this record (Cu Kα).
Neutral-atom scattering factors, no anomalous dispersion.

Top 12 peaks for 15 to 90 degrees two-theta, sorted by position:
(0 0 2), 2θ 16.48, intensity 16; (0 2 2), 2θ 22.77, intensity 19; (1 3 0), 2θ 26.33, intensity 16; (2 2 0), 2θ 28.35, intensity 25; (1 1 -3), 2θ 28.54, intensity 16; (2 0 2), 2θ 28.98, intensity 31; (2 2 -1), 2θ 29.48, intensity 100; (1 3 2), 2θ 31.28, intensity 16; (0 4 0), 2θ 31.52, intensity 19; (0 4 1), 2θ 32.63, intensity 13; (2 4 2), 2θ 43.34, intensity 13; (1 5 -3), 2θ 48.92, intensity 11

Crystal structure
a = 7.568 Å, b = 11.354 Å, c = 10.762 Å
α = 90.00°, β = 90.54°, γ = 90.00°
Space group C2/m (No. 12)
Asymmetric unit:
1 Ca 0.000 0.000 0.000
2 Ca 0.137 0.300 0.847
3 Ca 0.214 0.500 0.287
4 Ac 0.000 0.274 0.500
5 Nd 0.174 0.000 0.378

---

Record 6
For CaAc4Nd7, a structure optimized by DFT (PBE) gives the computed X-ray powder pattern in this record (Cu Kα).
Neutral-atom scattering factors, no anomalous dispersion.

Top 12 peaks for 15 to 90 degrees two-theta, sorted by position:
(2 0 0), 2θ 26.63, intensity 36; (1 0 3), 2θ 28.15, intensity 23; (1 2 0), 2θ 28.60, intensity 42; (1 1 3), 2θ 29.53, intensity 28; (0 1 -3), 2θ 29.92, intensity 54; (1 -2 0), 2θ 30.76, intensity 100; (2 0 2), 2θ 30.90, intensity 49; (1 2 2), 2θ 31.62, intensity 36; (-1 1 3), 2θ 31.82, intensity 51; (1 1 5), 2θ 44.95, intensity 21; (3 2 2), 2θ 48.32, intensity 22; (-2 3 3), 2θ 56.52, intensity 15

Crystal structure
a = 6.735 Å, b = 6.798 Å, c = 10.559 Å
α = 84.12°, β = 86.40°, γ = 84.58°
Space group P-1 (No. 2)
Asymmetric unit:
1 Ca 0.000 0.000 0.000
2 Ac 0.228 0.403 0.779
3 Ac 0.324 0.900 0.659
4 Nd 0.177 0.332 0.438
5 Nd 0.226 0.846 0.322
6 Nd 0.294 0.458 0.113
7 Nd 0.500 0.000 0.000

---

Record 7
For CaAc6Nd5, a structure optimized by DFT (PBE) gives the computed X-ray powder pattern in this record (Cu Kα).
Neutral-atom scattering factors, no anomalous dispersion.

Top 12 peaks for 15 to 90 degrees two-theta, sorted by position:
(0 2 0), 2θ 16.63, intensity 6; (1 2 3), 2θ 28.38, intensity 100; (2 0 0), 2θ 32.52, intensity 35; (0 4 0), 2θ 33.62, intensity 16; (2 0 6), 2θ 46.65, intensity 13; (2 4 0), 2θ 47.47, intensity 25; (3 2 3), 2θ 55.45, intensity 16; (1 2 9), 2θ 55.57, intensity 16; (1 6 3), 2θ 56.95, intensity 14; (2 4 6), 2θ 58.72, intensity 13; (3 2 9), 2θ 75.36, intensity 7; (3 6 3), 2θ 76.60, intensity 12

Crystal structure
a = 5.515 Å, b = 10.664 Å, c = 16.500 Å
α = 90.00°, β = 90.00°, γ = 90.00°
Space group Immm (No. 71)
Asymmetric unit:
1 Ca 0.000 0.000 0.000
2 Ac 0.000 0.244 0.500
3 Ac 0.000 0.252 0.168
4 Nd 0.000 0.000 0.332
5 Nd 0.000 0.500 0.000
6 Nd 0.000 0.500 0.329

---

Record 8
For Ca2Ac4Nd5, a structure optimized by DFT (PBE) gives the computed X-ray powder pattern in this record (Cu Kα).
Neutral-atom scattering factors, no anomalous dispersion.

Top 12 peaks for 15 to 90 degrees two-theta, sorted by position:
(2 0 -3), 2θ 27.40, intensity 54; (6 0 1), 2θ 27.71, intensity 56; (8 0 -2), 2θ 28.88, intensity 64; (5 1 -1), 2θ 29.40, intensity 100; (3 1 -2), 2θ 30.00, intensity 63; (5 1 0), 2θ 30.15, intensity 33; (1 1 2), 2θ 31.85, intensity 52; (10 0 -2), 2θ 35.29, intensity 25; (7 1 -4), 2θ 45.40, intensity 26; (0 2 0), 2θ 48.05, intensity 27; (13 1 -3), 2θ 53.36, intensity 21; (6 2 1), 2θ 56.41, intensity 23

Crystal structure
a = 25.763 Å, b = 3.785 Å, c = 9.856 Å
α = 90.00°, β = 112.34°, γ = 90.00°
Space group C2/m (No. 12)
Asymmetric unit:
1 Ca 0.117 0.000 0.430
2 Ac 0.039 0.000 0.709
3 Ac 0.186 0.500 0.834
4 Nd 0.000 0.500 0.000
5 Nd 0.130 0.000 0.081
6 Nd 0.232 0.500 0.340

---

Record 9
For Ca2Ac4Nd3, a structure optimized by DFT (PBE) gives the computed X-ray powder pattern in this record (Cu Kα).
Neutral-atom scattering factors, no anomalous dispersion.

Top 12 peaks for 15 to 90 degrees two-theta, sorted by position:
(1 1 0), 2θ 15.61, intensity 17; (1 -1 0), 2θ 28.12, intensity 51; (1 2 2), 2θ 28.38, intensity 50; (0 0 3), 2θ 28.41, intensity 100; (1 2 -1), 2θ 32.64, intensity 34; (2 1 2), 2θ 32.78, intensity 34; (-1 1 3), 2θ 33.06, intensity 35; (3 0 -1), 2θ 47.09, intensity 26; (1 2 5), 2θ 47.39, intensity 26; (-2 2 3), 2θ 55.87, intensity 31; (0 3 5), 2θ 56.24, intensity 15; (0 0 6), 2θ 58.76, intensity 19

Crystal structure
a = 6.679 Å, b = 6.698 Å, c = 10.133 Å
α = 71.26°, β = 89.69°, γ = 60.12°
Space group P-1 (No. 2)
Asymmetric unit:
1 Ca 0.055 0.050 0.165
2 Ac 0.172 0.170 0.499
3 Ac 0.283 0.287 0.833
4 Nd 0.401 0.379 0.170
5 Nd 0.500 0.500 0.500

---

Record 10
For Ca4Ac3Nd2, a structure optimized by DFT (PBE) gives the computed X-ray powder pattern in this record (Cu Kα).
Neutral-atom scattering factors, no anomalous dispersion.

Top 12 peaks for 15 to 90 degrees two-theta, sorted by position:
(1 1 0), 2θ 22.30, intensity 17; (1 1 1), 2θ 24.61, intensity 18; (0 0 3), 2θ 27.92, intensity 38; (6 0 -1), 2θ 28.37, intensity 53; (3 1 1), 2θ 28.97, intensity 100; (4 0 2), 2θ 29.83, intensity 19; (3 1 -2), 2θ 30.21, intensity 94; (3 1 2), 2θ 34.22, intensity 16; (0 2 0), 2θ 44.38, intensity 17; (1 1 4), 2θ 45.11, intensity 16; (9 1 -3), 2θ 52.18, intensity 19; (6 2 -1), 2θ 53.49, intensity 26

Crystal structure
a = 18.959 Å, b = 4.082 Å, c = 9.853 Å
α = 90.00°, β = 103.37°, γ = 90.00°
Space group C2/m (No. 12)
Asymmetric unit:
1 Ca 0.050 0.000 0.351
2 Ca 0.210 0.500 0.350
3 Ac 0.000 0.500 0.000
4 Ac 0.130 0.500 0.712
5 Nd 0.176 0.000 0.036